# BaLaNdMn3O9
Simulated powder diffraction line list, Cu Kα. Input: the GGA+U geometry in Alexandria.
Kinematic intensities with the Lorentz-polarization factor, no thermal factor.

Most intense lines, 10° ≤ 2θ ≤ 90°, in order of falling intensity:
| two_theta | I/Imax | hkl |
| --- | --- | --- |
| 32.19 | 100 | 0 1 4 |
| 31.80 | 99 | 1 1 0 |
| 45.88 | 62 | 2 0 4 |
| 56.91 | 40 | 1 2 4 |
| 22.48 | 32 | 1 0 2 |
| 39.29 | 27 | 0 2 2 |

```
BaLaNdMn3O9
1.0
5.6276 0.0000 0.0000
-2.8138 4.8736 0.0000
0.0000 0.0000 13.5429
Ba La Nd Mn O
2 2 2 6 18
direct
0.0000 0.0000 0.0000
0.0000 0.0000 0.5000
0.3333 0.6667 0.3314
0.6667 0.3333 0.6686
0.3333 0.6667 0.8310
0.6667 0.3333 0.1690
0.0000 0.0000 0.2488
0.0000 0.0000 0.7512
0.3333 0.6667 0.0826
0.3333 0.6667 0.5835
0.6667 0.3333 0.4165
0.6667 0.3333 0.9174
0.0000 0.4733 0.0000
0.0000 0.5232 0.5000
0.1022 0.7601 0.1725
0.1102 0.3429 0.6747
0.2327 0.8898 0.6747
0.2399 0.3421 0.1725
0.3421 0.2399 0.8275
0.3429 0.1102 0.3253
0.4733 0.0000 0.0000
0.4768 0.4768 0.5000
0.5232 0.0000 0.5000
0.5267 0.5267 0.0000
0.6571 0.7673 0.6747
0.6579 0.8978 0.1725
0.7601 0.1022 0.8275
0.7673 0.6571 0.3253
0.8898 0.2327 0.3253
0.8978 0.6579 0.8275
```